Structure and theoretical X-ray powder pattern of CaSn2S5 (a DFT-relaxed cell (PBE, the Materials Project); Cu Kα (weighted mean of Kα1 and Kα2)).
No peak broadening, texture or thermal motion is included.

Top 10 peaks for 10 to 90 degrees two-theta, in order of rising 2θ:
two_theta  Rel. int.  (hkl)
20.11  35.2  1 0 1
21.14  50.9  0 1 -2
21.31  52.1  1 0 -2
22.69  88.4  1 1 0
26.13  100.0  1 -2 0
26.54  46.0  1 -1 2
26.76  40.8  -1 1 2
30.08  28.3  -1 2 1
40.87  31.3  2 0 2
42.11  30.6  3 0 0

Crystal structure
```
data_CaSn2S5
_cell_length_a 7.094
_cell_length_b 7.156
_cell_length_c 9.081
_cell_angle_alpha 104.83
_cell_angle_beta 103.88
_cell_angle_gamma 105.78
_space_group_name_H-M_alt 'P 1'
_space_group_IT_number 1
loop_
_space_group_symop_operation_xyz
'x,y,z'
loop_
_atom_site_label
_atom_site_type_symbol
_atom_site_fract_x
_atom_site_fract_y
_atom_site_fract_z
_atom_site_occupancy
Ca1 Ca 0.154 0.337 0.257 1
Ca2 Ca 0.846 0.663 0.743 1
Sn1 Sn 0.178 0.322 0.751 1
Sn2 Sn 0.500 0.000 0.000 1
Sn3 Sn 0.500 0.000 0.500 1
Sn4 Sn 0.822 0.678 0.249 1
S1 S 0.137 0.734 0.462 1
S2 S 0.165 0.091 0.904 1
S3 S 0.222 0.642 0.952 1
S4 S 0.405 0.094 0.251 1
S5 S 0.422 0.339 0.604 1
S6 S 0.578 0.661 0.396 1
S7 S 0.595 0.906 0.749 1
S8 S 0.778 0.358 0.048 1
S9 S 0.835 0.909 0.096 1
S10 S 0.863 0.266 0.538 1
```